No. 1
Structure and theoretical powder diffraction line list of Na2Y2TiS6 (a cell relaxed with GGA-PBE; Cu Kα).
No peak broadening, texture or thermal motion is included.

Most intense lines, 2θ from 10° to 90°, sorted by position:
2theta, I_rel, (hkl)
13.1, 100, 0 0 1
27.3, 19, 1 3 0
32.1, 46, 2 0 -2
32.3, 94, 1 3 1
41.4, 15, 1 3 2
44.8, 15, 2 0 2
45.1, 30, 1 3 -3
47.2, 28, 3 3 -1

Crystal structure
abc: 6.695 11.415 7.109
angles: 90.00 108.21 90.00
Space group C2/m (No. 12)
Asymmetric unit:
Na 0.000 0.170 0.000
Y 0.000 0.334 0.500
Ti 0.000 0.000 0.500
S 0.225 0.154 0.716
S 0.230 0.000 0.288



No. 2
Structure and theoretical powder diffraction line list of CePr8Tm5 (a cell relaxed with GGA-PBE; Cu Kα).
No peak broadening, texture or thermal motion is included.

Most intense lines, 2θ from 10° to 90°, sorted by position:
2theta, I_rel, (hkl)
26.0, 31, 1 3 -1
29.6, 52, 3 1 0
31.0, 41, 4 0 -3
31.5, 100, 0 2 2
32.2, 52, 0 4 0
32.6, 69, 3 3 -2
34.4, 37, 4 2 -1
50.4, 24, 3 5 0

Crystal structure
abc: 13.017 11.102 9.157
angles: 90.00 133.79 90.00
Space group C2 (No. 5)
Asymmetric unit:
Ce 0.000 0.000 0.000
Pr 0.066 0.792 0.277
Pr 0.070 0.218 0.288
Pr 0.156 0.503 0.052
Pr 0.190 0.698 0.765
Tm 0.000 0.010 0.500
Tm 0.168 0.504 0.454
Tm 0.185 0.310 0.752



No. 3
Structure and theoretical powder diffraction line list of LiMg3In3 (a cell relaxed with GGA-PBE; Cu Kα).
No peak broadening, texture or thermal motion is included.

Most intense lines, 2θ from 10° to 90°, sorted by position:
2theta, I_rel, (hkl)
14.8, 39, 0 0 3
21.6, 66, 1 1 0
26.3, 74, 2 -1 3
37.2, 100, 1 1 6
37.9, 62, 3 0 0
40.9, 17, 0 3 3
54.1, 30, 4 -2 6
67.9, 28, 4 1 6

Crystal structure
abc: 8.2329 8.2329 17.9498
angles: 90.00 90.00 120.00
Space group R-3 (No. 148, hexagonal axes)
Asymmetric unit:
Li 0.0000 0.0000 0.1654
Mg 0.0102 0.6520 0.3798
In 0.0041 0.6872 0.5467